Theoretical powder diffraction line list of Sr2Be3SiPt4 for Cu Kα X-rays, from a GGA-PBE-relaxed structure.
Neutral-atom scattering factors, no anomalous dispersion.

a b c (Å): 4.148 4.148 10.011
angles (deg): 90.00 90.00 90.00
Space group P-4m2 (No. 115)
One atom of each set of equivalent atoms:
Sr 0.000 0.500 0.246 (multiplicity 2)
Be 0.000 0.500 0.886 (multiplicity 2)
Be 0.500 0.500 0.500 (multiplicity 1)
Si 0.000 0.000 0.500 (multiplicity 1)
Pt 0.000 0.000 0.000 (multiplicity 1)
Pt 0.000 0.500 0.624 (multiplicity 2)
Pt 0.500 0.500 0.000 (multiplicity 1)

Most intense lines, 10° ≤ 2θ ≤ 90°, in order of falling intensity:
2θ = 31.79°, I = 100, (1 1 1)
2θ = 35.47°, I = 70, (1 1 2)
2θ = 43.64°, I = 56, (2 0 0)
2θ = 27.93°, I = 54, (1 0 2)
2θ = 34.49°, I = 47, (1 0 3)
2θ = 26.71°, I = 37, (0 0 3)
2θ = 47.77°, I = 36, (1 1 4)
2θ = 51.90°, I = 25, (2 0 3)
2θ = 56.77°, I = 23, (2 1 3)
2θ = 72.70°, I = 21, (3 1 1)

***

Theoretical powder diffraction line list of ThBeSiPt6 for Cu Kα X-rays, from a GGA-PBE-relaxed structure.
Neutral-atom scattering factors, no anomalous dispersion.

a b c (Å): 7.811 7.814 11.101
angles (deg): 90.00 90.00 90.00
Space group Imma (No. 74)
One atom of each set of equivalent atoms:
Th 0.000 0.250 0.103 (multiplicity 4)
Be 0.250 0.250 0.750 (multiplicity 4)
Si 0.000 0.000 0.500 (multiplicity 4)
Pt 0.000 0.250 0.378 (multiplicity 4)
Pt 0.000 0.250 0.851 (multiplicity 4)
Pt 0.241 0.014 0.629 (multiplicity 16)

Most intense lines, 10° ≤ 2θ ≤ 90°, in order of falling intensity:
2θ = 32.41°, I = 100, (2 2 0)
2θ = 46.38°, I = 75, (2 2 4)
2θ = 32.26°, I = 47, (0 0 4)
2θ = 46.50°, I = 40, (4 0 0)
2θ = 57.72°, I = 35, (4 0 4)
2θ = 86.18°, I = 24, (6 2 4)
2θ = 77.17°, I = 22, (2 6 0)
2θ = 26.72°, I = 21, (0 1 3)
2θ = 35.36°, I = 17, (2 1 3)
2θ = 67.87°, I = 13, (4 4 0)

***

Theoretical powder diffraction line list of Tm3Be2SiPt9 for Cu Kα X-rays, from a GGA-PBE-relaxed structure.
Neutral-atom scattering factors, no anomalous dispersion.

a b c (Å): 5.7020 5.7020 9.2916
angles (deg): 90.00 90.00 120.00
Space group P-3m1 (No. 164)
One atom of each set of equivalent atoms:
Tm 0.0000 0.0000 0.0000 (multiplicity 1)
Tm 0.3333 0.6667 0.6000 (multiplicity 2)
Be 0.3333 0.6667 0.1537 (multiplicity 2)
Si 0.0000 0.0000 0.5000 (multiplicity 1)
Pt 0.0000 0.5000 0.0000 (multiplicity 3)
Pt 0.1643 0.3286 0.3079 (multiplicity 6)

Most intense lines, 10° ≤ 2θ ≤ 90°, in order of falling intensity:
2θ = 37.70°, I = 100, (0 2 1)
2θ = 41.41°, I = 75, (2 0 2)
2θ = 28.83°, I = 49, (0 0 3)
2θ = 65.48°, I = 23, (2 2 0)
2θ = 54.22°, I = 22, (0 2 4)
2θ = 73.07°, I = 21, (2 2 3)
2θ = 62.56°, I = 13, (2 0 5)
2θ = 78.09°, I = 12, (4 0 1)
2θ = 80.50°, I = 11, (0 4 2)
2θ = 43.06°, I = 11, (0 1 4)

***

Theoretical powder diffraction line list of Sm3Be2Pt5 for Cu Kα X-rays, from a GGA-PBE-relaxed structure.
Neutral-atom scattering factors, no anomalous dispersion.

a b c (Å): 9.961 9.961 3.665
angles (deg): 90.00 90.00 90.00
Space group P4/mbm (No. 127)
One atom of each set of equivalent atoms:
Sm 0.000 0.000 0.000 (multiplicity 2)
Sm 0.179 0.321 0.000 (multiplicity 4)
Be 0.114 0.614 0.000 (multiplicity 4)
Pt 0.000 0.500 0.500 (multiplicity 2)
Pt 0.070 0.772 0.500 (multiplicity 8)

Most intense lines, 10° ≤ 2θ ≤ 90°, in order of falling intensity:
2θ = 37.65°, I = 100, (3 1 1)
2θ = 31.61°, I = 90, (2 1 1)
2θ = 37.22°, I = 75, (4 1 0)
2θ = 40.50°, I = 49, (4 2 0)
2θ = 35.35°, I = 49, (2 2 1)
2θ = 40.91°, I = 42, (3 2 1)
2θ = 49.75°, I = 32, (0 0 2)
2θ = 63.74°, I = 32, (4 1 2)
2θ = 24.28°, I = 26, (0 0 1)
2θ = 71.79°, I = 24, (7 1 1)

***

Theoretical powder diffraction line list of SmTiBePt2 for Cu Kα X-rays, from a GGA-PBE-relaxed structure.
Neutral-atom scattering factors, no anomalous dispersion.

a b c (Å): 3.929 3.929 11.862
angles (deg): 90.00 90.00 90.00
Space group I-4m2 (No. 119)
One atom of each set of equivalent atoms:
Sm 0.000 0.000 0.000 (multiplicity 2)
Ti 0.000 0.500 0.750 (multiplicity 2)
Be 0.000 0.500 0.250 (multiplicity 2)
Pt 0.000 0.000 0.382 (multiplicity 4)

Most intense lines, 10° ≤ 2θ ≤ 90°, in order of falling intensity:
2θ = 32.12°, I = 100, (1 0 3)
2θ = 44.64°, I = 84, (1 0 5)
2θ = 32.22°, I = 77, (1 1 0)
2θ = 46.22°, I = 43, (2 0 0)
2θ = 66.19°, I = 39, (2 1 5)
2θ = 57.39°, I = 39, (2 1 3)
2θ = 35.69°, I = 29, (1 1 2)
2θ = 23.86°, I = 28, (1 0 1)
2θ = 76.69°, I = 22, (3 1 0)
2θ = 84.53°, I = 17, (3 0 5)

***

Theoretical powder diffraction line list of Sm3Be2ZnPt9 for Cu Kα X-rays, from a GGA-PBE-relaxed structure.
Neutral-atom scattering factors, no anomalous dispersion.

a b c (Å): 5.7778 5.7778 9.5247
angles (deg): 90.00 90.00 120.00
Space group P-3m1 (No. 164)
One atom of each set of equivalent atoms:
Sm 0.0000 0.0000 0.0000 (multiplicity 1)
Sm 0.3333 0.6667 0.6063 (multiplicity 2)
Be 0.3333 0.6667 0.1519 (multiplicity 2)
Zn 0.0000 0.0000 0.5000 (multiplicity 1)
Pt 0.0000 0.5000 0.0000 (multiplicity 3)
Pt 0.1645 0.3290 0.2985 (multiplicity 6)

Most intense lines, 10° ≤ 2θ ≤ 90°, in order of falling intensity:
2θ = 37.16°, I = 100, (0 2 1)
2θ = 40.74°, I = 82, (2 0 2)
2θ = 28.11°, I = 46, (0 0 3)
2θ = 64.51°, I = 25, (2 2 0)
2θ = 53.10°, I = 21, (0 2 4)
2θ = 71.80°, I = 20, (2 2 3)
2θ = 61.15°, I = 13, (0 2 5)
2θ = 76.86°, I = 12, (4 0 1)
2θ = 79.16°, I = 12, (0 4 2)
2θ = 33.43°, I = 12, (0 1 3)

***

Theoretical powder diffraction line list of SrBePt3 for Cu Kα X-rays, from a GGA-PBE-relaxed structure.
Neutral-atom scattering factors, no anomalous dispersion.

a b c (Å): 12.074 5.559 5.787
angles (deg): 90.00 98.98 90.00
Space group C2/m (No. 12)
One atom of each set of equivalent atoms:
Sr 0.111 0.000 0.290 (multiplicity 4)
Be 0.199 0.500 0.107 (multiplicity 4)
Pt 0.000 0.500 0.000 (multiplicity 2)
Pt 0.000 0.500 0.500 (multiplicity 2)
Pt 0.153 0.248 0.797 (multiplicity 8)

Most intense lines, 10° ≤ 2θ ≤ 90°, in order of falling intensity:
2θ = 19.77°, I = 100, (2 0 -1)
2θ = 38.08°, I = 90, (2 2 -1)
2θ = 40.16°, I = 71, (4 0 -2)
2θ = 36.94°, I = 63, (2 0 2)
2θ = 40.05°, I = 58, (2 2 1)
2θ = 35.64°, I = 57, (2 2 0)
2θ = 27.59°, I = 54, (3 1 0)
2θ = 45.53°, I = 48, (0 2 2)
2θ = 35.06°, I = 44, (1 1 -2)
2θ = 44.57°, I = 44, (4 2 0)

***

Theoretical powder diffraction line list of Be2TePt for Cu Kα X-rays, from a GGA-PBE-relaxed structure.
Neutral-atom scattering factors, no anomalous dispersion.

a b c (Å): 4.127 4.127 3.492
angles (deg): 90.00 90.00 90.00
Space group P4/mmm (No. 123)
One atom of each set of equivalent atoms:
Be 0.000 0.500 0.000 (multiplicity 2)
Te 0.000 0.000 0.500 (multiplicity 1)
Pt 0.500 0.500 0.500 (multiplicity 1)

Most intense lines, 10° ≤ 2θ ≤ 90°, in order of falling intensity:
2θ = 40.28°, I = 100, (1 1 1)
2θ = 30.64°, I = 89, (1 1 0)
2θ = 25.51°, I = 71, (0 0 1)
2θ = 51.44°, I = 43, (2 0 1)
2θ = 43.88°, I = 39, (2 0 0)
2θ = 78.19°, I = 29, (3 1 1)
2θ = 61.94°, I = 24, (1 1 2)
2θ = 70.68°, I = 19, (2 0 2)
2θ = 69.87°, I = 17, (2 2 1)
2θ = 72.42°, I = 15, (3 1 0)